For MgMn2O4, a structure optimized by DFT (GGA+U) gives the calculated powder diffractogram in this record (λ = 1.5418 Å (Cu Kα)).

Structural model:
abc: 2.997 9.909 9.578
angles: 90.00 90.00 90.00
Space group Cmcm (No. 63)
Inequivalent atoms, fractional coordinates:
Mg (0.000, 0.106, 0.250)
Mn (0.000, 0.366, 0.071)
O (0.000, 0.000, 0.000)
O (0.000, 0.281, 0.614)
O (0.000, 0.458, 0.250)

Peak list (10 most intense, 10 to 80 degrees two-theta, sorted by position)
- d = 4.789 Å, 2θ = 18.53°, I = 43.9, hkl 0 0 2
- d = 2.869 Å, 2θ = 31.18°, I = 34.3, hkl 1 1 0
- d = 2.684 Å, 2θ = 33.39°, I = 100.0, hkl 0 2 3
- d = 2.477 Å, 2θ = 36.26°, I = 21.6, hkl 0 4 0
- d = 2.220 Å, 2θ = 40.65°, I = 46.2, hkl 1 3 0
- d = 2.162 Å, 2θ = 41.77°, I = 51.8, hkl 1 3 1
- d = 2.014 Å, 2θ = 45.02°, I = 59.5, hkl 1 3 2
- d = 1.593 Å, 2θ = 57.88°, I = 27.0, hkl 1 1 5
- d = 1.499 Å, 2θ = 61.92°, I = 21.0, hkl 2 0 0
- d = 1.467 Å, 2θ = 63.38°, I = 53.8, hkl 0 6 3



For Mn3ReO6, a structure optimized by DFT (GGA+U) gives the calculated powder diffractogram in this record (λ = 1.5418 Å (Cu Kα)).

Structural model:
abc: 5.347 5.457 7.862
angles: 90.00 90.01 90.06
Space group P1 (No. 1)
Inequivalent atoms, fractional coordinates:
Mn (0.000, 0.000, 0.000)
Mn (0.003, 0.545, 0.760)
Mn (0.500, 0.045, 0.253)
Mn (0.504, 0.500, 0.014)
Mn (0.508, 0.593, 0.499)
Mn (0.996, 0.093, 0.515)
Re (0.005, 0.545, 0.258)
Re (0.499, 0.044, 0.755)
O (0.125, 0.472, 0.490)
O (0.158, 0.243, 0.181)
O (0.185, 0.208, 0.808)
O (0.318, 0.708, 0.205)
O (0.346, 0.743, 0.833)
O (0.379, 0.972, 0.523)
O (0.621, 0.121, 0.989)
O (0.659, 0.341, 0.681)
O (0.698, 0.368, 0.315)
O (0.806, 0.868, 0.699)
O (0.845, 0.841, 0.332)
O (0.883, 0.621, 0.025)

Peak list (10 most intense, 10 to 80 degrees two-theta, sorted by position)
- d = 4.483 Å, 2θ = 19.81°, I = 33.7, hkl 0 1 1
- d = 4.421 Å, 2θ = 20.08°, I = 26.9, hkl 1 0 1
- d = 3.819 Å, 2θ = 23.29°, I = 23.1, hkl 1 1 0
- d = 2.739 Å, 2θ = 32.69°, I = 100.0, hkl 1 1 -2
- d = 2.728 Å, 2θ = 32.83°, I = 23.3, hkl 0 2 0
- d = 2.673 Å, 2θ = 33.52°, I = 23.2, hkl 2 0 0
- d = 1.966 Å, 2θ = 46.19°, I = 12.9, hkl 0 0 4
- d = 1.909 Å, 2θ = 47.62°, I = 21.4, hkl 2 2 0
- d = 1.577 Å, 2θ = 58.52°, I = 18.7, hkl 1 3 -2
- d = 1.556 Å, 2θ = 59.40°, I = 24.0, hkl 3 1 -2



For Li2CrFeO4, a structure optimized by DFT (GGA+U) gives the calculated powder diffractogram in this record (λ = 1.5418 Å (Cu Kα)).

Structural model:
abc: 5.168 5.952 7.876
angles: 79.12 70.95 89.94
Space group P-1 (No. 2)
Inequivalent atoms, fractional coordinates:
Li (0.000, 0.083, 0.167)
Li (0.001, 0.585, 0.166)
Li (0.002, 0.752, 0.499)
Cr (0.500, 0.000, 0.500)
Cr (0.500, 0.166, 0.833)
Fe (0.499, 0.334, 0.166)
Fe (0.500, 0.500, 0.500)
O (0.271, 0.545, 0.327)
O (0.271, 0.711, 0.662)
O (0.272, 0.375, 0.994)
O (0.274, 0.043, 0.329)
O (0.275, 0.209, 0.661)
O (0.275, 0.877, 0.995)

Peak list (10 most intense, 10 to 80 degrees two-theta, sorted by position)
- d = 4.874 Å, 2θ = 18.20°, I = 100.0, hkl 1 0 0
- d = 2.539 Å, 2θ = 35.36°, I = 41.9, hkl 1 0 3
- d = 2.434 Å, 2θ = 36.94°, I = 12.7, hkl 2 0 0
- d = 2.107 Å, 2θ = 42.93°, I = 81.4, hkl 2 0 3
- d = 1.934 Å, 2θ = 46.99°, I = 13.6, hkl 2 -2 1
- d = 1.623 Å, 2θ = 56.71°, I = 16.0, hkl 2 2 -1
- d = 1.491 Å, 2θ = 62.27°, I = 21.6, hkl 3 2 2
- d = 1.488 Å, 2θ = 62.40°, I = 22.4, hkl 1 2 5
- d = 1.423 Å, 2θ = 65.59°, I = 14.2, hkl 1 4 1
- d = 1.216 Å, 2θ = 78.73°, I = 10.0, hkl 2 4 4



For CrF5, a structure optimized by DFT (GGA+U) gives the calculated powder diffractogram in this record (λ = 1.5418 Å (Cu Kα)).

Structural model:
abc: 7.983 7.667 5.613
angles: 90.00 90.00 90.00
Space group Pbcm (No. 57)
Inequivalent atoms, fractional coordinates:
Cr (0.242, 0.087, 0.250)
F (0.033, 0.027, 0.250)
F (0.163, 0.250, 0.000)
F (0.307, 0.555, 0.526)
F (0.420, 0.217, 0.250)

Peak list (10 most intense, 10 to 80 degrees two-theta, sorted by position)
- d = 5.530 Å, 2θ = 16.03°, I = 61.9, hkl 1 1 0
- d = 3.991 Å, 2θ = 22.27°, I = 31.6, hkl 2 0 0
- d = 3.939 Å, 2θ = 22.57°, I = 100.0, hkl 1 1 1
- d = 3.833 Å, 2θ = 23.20°, I = 9.1, hkl 0 2 0
- d = 3.166 Å, 2θ = 28.19°, I = 28.6, hkl 0 2 1
- d = 2.503 Å, 2θ = 35.88°, I = 9.3, hkl 1 1 2
- d = 2.480 Å, 2θ = 36.22°, I = 9.7, hkl 2 2 1
- d = 2.186 Å, 2θ = 41.30°, I = 9.3, hkl 3 2 0
- d = 2.178 Å, 2θ = 41.45°, I = 16.3, hkl 1 2 2
- d = 1.839 Å, 2θ = 49.58°, I = 26.6, hkl 1 3 2



For BaU2V2O12, a structure optimized by DFT (GGA+U) gives the calculated powder diffractogram in this record (λ = 1.5418 Å (Cu Kα)).

Structural model:
abc: 6.734 8.466 10.573
angles: 90.00 104.03 90.00
Space group Pc (No. 7)
Inequivalent atoms, fractional coordinates:
Ba (0.000, 0.027, 0.000)
U (0.451, 0.231, 0.834)
U (0.483, 0.273, 0.477)
V (0.351, 0.395, 0.102)
V (0.584, 0.101, 0.210)
O (0.109, 0.369, 0.095)
O (0.181, 0.167, 0.783)
O (0.213, 0.213, 0.424)
O (0.391, 0.458, 0.942)
O (0.416, 0.182, 0.047)
O (0.424, 0.403, 0.661)
O (0.492, 0.094, 0.650)
O (0.508, 0.305, 0.261)
O (0.572, 0.039, 0.375)
O (0.727, 0.265, 0.892)
O (0.759, 0.300, 0.530)
O (0.830, 0.102, 0.210)

Peak list (10 most intense, 10 to 80 degrees two-theta, sorted by position)
- d = 6.532 Å, 2θ = 13.55°, I = 100.0, hkl 1 0 0
- d = 5.129 Å, 2θ = 17.29°, I = 18.2, hkl 0 0 2
- d = 4.298 Å, 2θ = 20.66°, I = 16.1, hkl 1 1 1
- d = 3.552 Å, 2θ = 25.07°, I = 52.9, hkl 1 2 0
- d = 3.266 Å, 2θ = 27.31°, I = 40.1, hkl 2 0 0
- d = 3.170 Å, 2θ = 28.15°, I = 30.6, hkl 0 1 3
- d = 3.143 Å, 2θ = 28.39°, I = 41.0, hkl 1 1 -3
- d = 3.119 Å, 2θ = 28.62°, I = 31.4, hkl 1 2 -2
- d = 2.585 Å, 2θ = 34.70°, I = 18.0, hkl 2 1 -3
- d = 1.957 Å, 2θ = 46.40°, I = 19.2, hkl 3 2 -2



For K2MgMn2P6H2O20, a structure optimized by DFT (GGA+U) gives the calculated powder diffractogram in this record (λ = 1.5418 Å (Cu Kα)).

Structural model:
abc: 7.442 7.492 10.146
angles: 71.59 71.04 71.34
Space group P1 (No. 1)
Inequivalent atoms, fractional coordinates:
K (0.000, 0.000, 0.000)
K (0.029, 0.849, 0.567)
Mg (0.629, 0.655, 0.244)
Mn (0.014, 0.409, 0.300)
Mn (0.503, 0.919, 0.779)
P (0.180, 0.260, 0.598)
P (0.367, 0.145, 0.081)
P (0.389, 0.549, 0.054)
P (0.597, 0.298, 0.510)
P (0.607, 0.680, 0.502)
P (0.813, 0.592, 0.970)
H (0.001, 0.423, 0.768)
H (0.463, 0.964, 0.278)
O (0.064, 0.446, 0.657)
O (0.087, 0.238, 0.494)
O (0.168, 0.185, 0.183)
O (0.225, 0.082, 0.715)
O (0.241, 0.557, 0.196)
O (0.345, 0.697, 0.922)
O (0.382, 0.321, 0.496)
O (0.388, 0.075, 0.953)
O (0.440, 0.765, 0.421)
O (0.458, 0.334, 0.025)
O (0.520, 0.986, 0.171)
O (0.579, 0.460, 0.588)
O (0.585, 0.568, 0.080)
O (0.603, 0.769, 0.615)
O (0.671, 0.106, 0.602)
O (0.711, 0.354, 0.353)
O (0.777, 0.773, 0.852)
O (0.798, 0.661, 0.380)
O (0.882, 0.622, 0.088)
O (0.913, 0.404, 0.923)

Peak list (10 most intense, 10 to 80 degrees two-theta, sorted by position)
- d = 6.303 Å, 2θ = 14.05°, I = 100.0, hkl 0 1 1
- d = 5.574 Å, 2θ = 15.90°, I = 90.5, hkl 1 1 0
- d = 4.662 Å, 2θ = 19.04°, I = 44.6, hkl 0 0 2
- d = 4.572 Å, 2θ = 19.42°, I = 80.0, hkl 1 1 2
- d = 3.500 Å, 2θ = 25.45°, I = 46.6, hkl 2 0 1
- d = 3.411 Å, 2θ = 26.12°, I = 55.7, hkl 1 2 2
- d = 3.197 Å, 2θ = 27.91°, I = 47.6, hkl 1 -1 2
- d = 3.012 Å, 2θ = 29.66°, I = 46.8, hkl 0 2 -1
- d = 2.877 Å, 2θ = 31.08°, I = 26.9, hkl 2 1 -1
- d = 2.787 Å, 2θ = 32.12°, I = 40.8, hkl 2 2 0